Theoretical powder X-ray diffraction pattern of Sr2Co2O5 for CuKα, from a GGA+U-relaxed structure.
Lines closer than 0.1° are merged.

Most intense lines, 2θ = 15–90°, most intense first:
(1 4 1), 31.9°, I 100.0
(2 0 0), 33.0°, I 33.8
(2 0 2), 46.9°, I 33.2
(0 0 2), 32.3°, I 31.5
(3 4 1), 58.3°, I 17.7
(1 4 3), 57.4°, I 17.0
(1 6 1), 40.7°, I 16.1
(0 8 0), 44.7°, I 15.9
(2 8 2), 66.8°, I 14.3
(2 8 0), 56.7°, I 9.9

Structural model:
a = 5.4283 Å, b = 16.2274 Å, c = 5.5380 Å
α = 90.00°, β = 90.00°, γ = 90.00°
Positions (direct):
Sr1 0.0010 0.1097 0.0099
Sr2 0.0010 0.3903 0.0099
Sr3 0.4990 0.6097 0.5099
Sr4 0.4990 0.8903 0.5099
Sr5 0.5010 0.1097 0.4901
Sr6 0.5010 0.3903 0.4901
Sr7 0.9990 0.6097 0.9901
Sr8 0.9990 0.8903 0.9901
Co1 0.0000 0.0000 0.5000
Co2 0.0000 0.5000 0.5000
Co3 0.0377 0.2500 0.5643
Co4 0.4623 0.7500 0.0643
Co5 0.5000 0.0000 0.0000
Co6 0.5000 0.5000 0.0000
Co7 0.5377 0.2500 0.9357
Co8 0.9623 0.7500 0.4357
O1 0.0092 0.6442 0.5300
O2 0.0092 0.8558 0.5300
O3 0.1095 0.7500 0.1199
O4 0.2484 0.0040 0.7518
O5 0.2484 0.4960 0.7518
O6 0.2516 0.5040 0.2518
O7 0.2516 0.9960 0.2518
O8 0.3905 0.2500 0.6199
O9 0.4908 0.1442 0.0300
O10 0.4908 0.3558 0.0300
O11 0.5092 0.6442 0.9700
O12 0.5092 0.8558 0.9700
O13 0.6095 0.7500 0.3801
O14 0.7484 0.0040 0.7482
O15 0.7484 0.4960 0.7482
O16 0.7516 0.5040 0.2482
O17 0.7516 0.9960 0.2482
O18 0.8905 0.2500 0.8801
O19 0.9908 0.1442 0.4700
O20 0.9908 0.3558 0.4700